Diffraction record for Na2AlTlCl6. The powder XRD pattern is computed, not measured: it uses DFT lattice parameters and positions (PBE) and Cu Kα (weighted mean of Kα1 and Kα2).
Peak positions follow from Bragg's law for the DFT cell and can differ from measured ones.

Crystal structure
abc: 6.9912 6.9912 19.0836
angles: 90.00 90.00 120.00
Space group R3 (No. 146, hexagonal axes)
Unique sites:
Na: 0.0000 0.0000 0.0000 (multiplicity 3)
Na: 0.0000 0.0000 0.4795 (multiplicity 3)
Al: 0.0000 0.0000 0.6753 (multiplicity 3)
Tl: 0.0000 0.0000 0.1955 (multiplicity 3)
Cl: 0.0308 0.7477 0.5989 (multiplicity 9)
Cl: 0.0549 0.3845 0.4096 (multiplicity 9)

Largest 10 diffraction maxima, by angle, 2θ = 10–90°:
hkl, d (Å), Rel. int.
1 0 1, 5.771, 41
0 1 2, 5.112, 100
1 0 4, 3.747, 61
1 1 0, 3.496, 30
0 1 5, 3.229, 32
1 1 3, 3.064, 78
0 2 1, 2.990, 38
2 -1 6, 2.353, 58
3 -1 4, 2.063, 34
3 0 0, 2.018, 31